The following is a simulated powder XRD pattern of HoNp2S5. It was derived from the GGA-PBE geometry in Alexandria, using Cu Kα.
No peak broadening, texture or thermal motion is included.

Structural model:
Unit cell a=11.661 b=7.895 c=7.327 alpha=90.00 beta=90.00 gamma=90.00
Positions (direct):
Ho  0.007  0.250  0.076
Ho  0.493  0.750  0.576
Ho  0.507  0.250  0.424
Ho  0.993  0.750  0.924
Np  0.181  0.001  0.515
Np  0.181  0.499  0.515
Np  0.319  0.501  0.015
Np  0.319  0.999  0.015
Np  0.681  0.001  0.985
Np  0.681  0.499  0.985
Np  0.819  0.501  0.485
Np  0.819  0.999  0.485
S  0.000  0.250  0.465
S  0.000  0.750  0.535
S  0.103  0.542  0.163
S  0.103  0.958  0.163
S  0.188  0.250  0.825
S  0.216  0.750  0.798
S  0.284  0.250  0.298
S  0.312  0.750  0.325
S  0.397  0.042  0.663
S  0.397  0.458  0.663
S  0.500  0.250  0.035
S  0.500  0.750  0.965
S  0.603  0.542  0.337
S  0.603  0.958  0.337
S  0.688  0.250  0.675
S  0.716  0.750  0.702
S  0.784  0.250  0.202
S  0.812  0.750  0.175
S  0.897  0.042  0.837
S  0.897  0.458  0.837

Most intense lines, 2θ = 5–70°, sorted by position:
(hkl)  2θ (°)  Rel. int.
0 0 2  24.3  54
3 0 1  25.9  100
1 2 1  26.8  57
2 2 0  27.3  58
3 2 1  34.6  42
2 2 2  36.9  64
0 4 0  46.0  27
5 2 1  46.9  45
3 2 3  49.8  26
3 4 1  53.6  34